1.
For Pr2Ni3As3, a cell relaxed with PBE gives the calculated powder XRD pattern in this record (Cu Kα (weighted mean of Kα1 and Kα2)).
Peak positions follow from Bragg's law for the DFT cell and can differ from measured ones.

Cell and atoms:
a = 4.054 Å, b = 6.083 Å, c = 7.805 Å
α = 70.65°, β = 75.08°, γ = 70.61°
Fractional positions:
Pr (0.042, 0.193, 0.222)
Pr (0.958, 0.807, 0.778)
Ni (0.277, 0.367, 0.577)
Ni (0.500, 0.500, 0.000)
Ni (0.723, 0.633, 0.423)
As (0.306, 0.628, 0.259)
As (0.500, 0.000, 0.500)
As (0.694, 0.372, 0.741)

Largest 10 diffraction maxima, by angle, 10 to 90 degrees two-theta:
| 2theta | Rel. int. |
| --- | --- |
| 17.4 | 19.8 |
| 28.5 | 32.8 |
| 31.2 | 100.0 |
| 31.4 | 41.5 |
| 34.4 | 22.6 |
| 34.7 | 56.6 |
| 35.1 | 26.7 |
| 44.7 | 55.4 |
| 47.9 | 28.5 |
| 50.3 | 28.6 |

2.
For CaZnSiH2O5, a cell relaxed with PBE gives the calculated powder XRD pattern in this record (Cu Kα (weighted mean of Kα1 and Kα2)).
Peak positions follow from Bragg's law for the DFT cell and can differ from measured ones.

Cell and atoms:
a = 8.459 Å, b = 8.459 Å, c = 5.465 Å
α = 93.95°, β = 93.95°, γ = 144.45°
Fractional positions:
Ca (0.072, 0.928, 0.500)
Ca (0.928, 0.072, 0.000)
Zn (0.406, 0.907, 0.861)
Zn (0.907, 0.406, 0.361)
Si (0.527, 0.803, 0.380)
Si (0.803, 0.527, 0.880)
H (0.219, 0.383, 0.577)
H (0.383, 0.219, 0.077)
H (0.460, 0.483, 0.752)
H (0.483, 0.460, 0.252)
O (0.194, 0.480, 0.314)
O (0.251, 0.333, 0.713)
O (0.333, 0.251, 0.213)
O (0.480, 0.194, 0.814)
O (0.585, 0.999, 0.209)
O (0.622, 0.940, 0.679)
O (0.709, 0.800, 0.306)
O (0.800, 0.709, 0.806)
O (0.940, 0.622, 0.179)
O (0.999, 0.585, 0.709)

Largest 10 diffraction maxima, by angle, 10 to 90 degrees two-theta:
| 2theta | Rel. int. |
| --- | --- |
| 11.0 | 55.8 |
| 22.1 | 53.9 |
| 27.1 | 67.7 |
| 31.8 | 100.0 |
| 33.7 | 22.9 |
| 35.2 | 52.7 |
| 37.5 | 29.7 |
| 45.0 | 33.3 |
| 58.6 | 29.8 |
| 61.2 | 22.6 |

3.
For TlSiHSe, a cell relaxed with PBE gives the calculated powder XRD pattern in this record (Cu Kα (weighted mean of Kα1 and Kα2)).
Peak positions follow from Bragg's law for the DFT cell and can differ from measured ones.

Cell and atoms:
a = 3.524 Å, b = 5.667 Å, c = 5.760 Å
α = 68.37°, β = 89.89°, γ = 74.68°
Fractional positions:
Tl (0.000, 0.000, 0.000)
Si (0.332, 0.495, 0.630)
H (0.335, 0.492, 0.365)
Se (0.697, 0.814, 0.563)

Largest 10 diffraction maxima, by angle, 10 to 90 degrees two-theta:
| 2theta | Rel. int. |
| --- | --- |
| 16.7 | 32.6 |
| 17.6 | 100.0 |
| 19.1 | 61.3 |
| 28.6 | 36.2 |
| 29.8 | 38.8 |
| 29.9 | 38.2 |
| 31.4 | 43.4 |
| 32.9 | 48.8 |
| 33.7 | 32.7 |
| 34.2 | 35.3 |

4.
For Y6Tm3Pu, a cell relaxed with PBE gives the calculated powder XRD pattern in this record (Cu Kα (weighted mean of Kα1 and Kα2)).
Peak positions follow from Bragg's law for the DFT cell and can differ from measured ones.

Cell and atoms:
a = 6.686 Å, b = 6.686 Å, c = 8.823 Å
α = 104.91°, β = 104.91°, γ = 59.37°
Fractional positions:
Y (0.096, 0.587, 0.194)
Y (0.139, 0.139, 0.415)
Y (0.413, 0.904, 0.806)
Y (0.587, 0.096, 0.194)
Y (0.861, 0.861, 0.585)
Y (0.904, 0.413, 0.806)
Tm (0.404, 0.404, 0.824)
Tm (0.500, 0.500, 0.500)
Tm (0.596, 0.596, 0.176)
Pu (0.000, 0.000, 0.000)

Largest 10 diffraction maxima, by angle, 10 to 90 degrees two-theta:
| 2theta | Rel. int. |
| --- | --- |
| 16.0 | 36.9 |
| 26.9 | 51.7 |
| 28.2 | 54.6 |
| 30.2 | 46.4 |
| 31.5 | 53.2 |
| 31.6 | 100.0 |
| 32.1 | 83.2 |
| 33.0 | 65.0 |
| 33.4 | 80.8 |
| 55.5 | 39.3 |

5.
For Y4AgTe, a cell relaxed with PBE gives the calculated powder XRD pattern in this record (Cu Kα (weighted mean of Kα1 and Kα2)).
Peak positions follow from Bragg's law for the DFT cell and can differ from measured ones.

Cell and atoms:
a = 8.467 Å, b = 3.977 Å, c = 19.876 Å
α = 90.00°, β = 90.00°, γ = 90.00°
Fractional positions:
Y (0.018, 0.250, 0.218)
Y (0.023, 0.250, 0.928)
Y (0.122, 0.250, 0.439)
Y (0.158, 0.250, 0.656)
Y (0.342, 0.750, 0.156)
Y (0.378, 0.750, 0.939)
Y (0.477, 0.750, 0.428)
Y (0.482, 0.750, 0.718)
Y (0.518, 0.250, 0.282)
Y (0.523, 0.250, 0.572)
Y (0.622, 0.250, 0.061)
Y (0.658, 0.250, 0.844)
Y (0.842, 0.750, 0.344)
Y (0.878, 0.750, 0.561)
Y (0.977, 0.750, 0.072)
Y (0.982, 0.750, 0.782)
Ag (0.247, 0.250, 0.050)
Ag (0.253, 0.750, 0.550)
Ag (0.747, 0.250, 0.450)
Ag (0.753, 0.750, 0.950)
Te (0.219, 0.750, 0.312)
Te (0.281, 0.250, 0.812)
Te (0.719, 0.750, 0.188)
Te (0.781, 0.250, 0.688)

Largest 10 diffraction maxima, by angle, 10 to 90 degrees two-theta:
| 2theta | Rel. int. |
| --- | --- |
| 30.7 | 100.0 |
| 30.9 | 34.0 |
| 31.2 | 28.9 |
| 31.8 | 57.9 |
| 33.8 | 81.4 |
| 36.2 | 31.7 |
| 36.6 | 49.0 |
| 38.4 | 30.6 |
| 45.6 | 41.0 |
| 59.5 | 31.2 |

6.
For Hf4GaRh, a cell relaxed with PBE gives the calculated powder XRD pattern in this record (Cu Kα (weighted mean of Kα1 and Kα2)).
Peak positions follow from Bragg's law for the DFT cell and can differ from measured ones.

Cell and atoms:
a = 5.394 Å, b = 5.394 Å, c = 5.394 Å
α = 103.94°, β = 103.94°, γ = 121.21°
Fractional positions:
Hf (0.092, 0.592, 0.183)
Hf (0.408, 0.908, 0.817)
Hf (0.592, 0.408, 0.500)
Hf (0.908, 0.092, 0.500)
Ga (0.000, 0.000, 0.000)
Rh (0.500, 0.500, 0.000)

Largest 10 diffraction maxima, by angle, 10 to 90 degrees two-theta:
| 2theta | Rel. int. |
| --- | --- |
| 33.9 | 12.5 |
| 34.6 | 100.0 |
| 39.1 | 18.6 |
| 43.0 | 29.2 |
| 43.7 | 19.4 |
| 60.0 | 13.8 |
| 61.1 | 19.7 |
| 66.4 | 10.9 |
| 69.8 | 16.8 |
| 79.8 | 12.2 |

7.
For Pr12HoTl3, a cell relaxed with PBE gives the calculated powder XRD pattern in this record (Cu Kα (weighted mean of Kα1 and Kα2)).
Peak positions follow from Bragg's law for the DFT cell and can differ from measured ones.

Cell and atoms:
a = 5.042 Å, b = 5.042 Å, c = 20.562 Å
α = 90.00°, β = 90.00°, γ = 90.00°
Fractional positions:
Pr (0.000, 0.000, 0.000)
Pr (0.000, 0.000, 0.246)
Pr (0.000, 0.000, 0.500)
Pr (0.000, 0.000, 0.754)
Pr (0.000, 0.500, 0.123)
Pr (0.000, 0.500, 0.370)
Pr (0.000, 0.500, 0.630)
Pr (0.000, 0.500, 0.877)
Pr (0.500, 0.000, 0.123)
Pr (0.500, 0.000, 0.370)
Pr (0.500, 0.000, 0.630)
Pr (0.500, 0.000, 0.877)
Ho (0.500, 0.500, 0.500)
Tl (0.500, 0.500, 0.000)
Tl (0.500, 0.500, 0.244)
Tl (0.500, 0.500, 0.756)

Largest 10 diffraction maxima, by angle, 10 to 90 degrees two-theta:
| 2theta | Rel. int. |
| --- | --- |
| 30.5 | 100.0 |
| 34.9 | 17.0 |
| 35.6 | 33.4 |
| 50.7 | 23.7 |
| 51.2 | 11.9 |
| 59.9 | 13.8 |
| 60.8 | 28.3 |
| 63.5 | 12.1 |
| 82.7 | 11.1 |
| 83.5 | 5.9 |